1.
# Ti2IrRh7
Simulated XRD peak list, Cu Kα, 1.54184 Å. Input: DFT lattice parameters and positions (GGA-PBE).

Crystal structure
```
10
Lattice="4.0671 -7.3290 0.0000 4.0671 7.3290 0.0000 0.0000 0.0000 2.7711" Properties=species:S:1:pos:R:3 pbc="T T T"
Ti 4.0671 4.7554 0.0000
Ti 4.0671 -4.7554 0.0000
Ir 4.0671 0.0000 1.3855
Rh 0.0000 0.0000 0.0000
Rh 2.2232 1.3910 0.0000
Rh 4.0671 2.7526 1.3855
Rh 2.2232 -1.3910 0.0000
Rh 5.9109 1.3910 0.0000
Rh 4.0671 -2.7526 1.3855
Rh 5.9109 -1.3910 0.0000
```

Peak list (10 most intense, 10 to 80 degrees two-theta, sorted by position)
d_spacing, Position (°2θ), intensity
7.329, 12.08, 82
7.112, 12.45, 74
2.722, 32.90, 84
2.582, 34.74, 62
2.290, 39.34, 60
2.094, 43.20, 100
2.034, 44.56, 51
1.955, 46.45, 77
1.921, 47.31, 61
1.265, 75.06, 33

---

2.
# Hf2SiAs3
Simulated XRD peak list, Cu Kα, 1.54184 Å. Input: DFT lattice parameters and positions (GGA-PBE).

Crystal structure
```
6
Lattice="3.6615 0.0000 0.0000 0.0000 3.6615 0.0000 0.0000 0.0000 8.2054" Properties=species:S:1:pos:R:3 pbc="T T T"
Hf 0.0000 1.8308 1.9394
Hf 1.8308 0.0000 6.2661
Si 0.0000 0.0000 4.1027
As 0.0000 1.8308 7.2747
As 1.8308 0.0000 0.9307
As 1.8308 1.8308 4.1027
```

Peak list (10 most intense, 10 to 80 degrees two-theta, sorted by position)
d_spacing, Position (°2θ), intensity
4.103, 21.66, 15
3.344, 26.66, 49
2.734, 32.76, 14
2.589, 34.65, 32
2.469, 36.39, 22
2.190, 41.21, 100
1.831, 49.81, 26
1.606, 57.38, 13
1.498, 61.97, 11
1.405, 66.56, 27

---

3.
# Ac2Pr2NdSm
Simulated XRD peak list, Cu Kα, 1.54184 Å. Input: DFT lattice parameters and positions (GGA-PBE).

Crystal structure
```
12
Lattice="7.4113 0.0000 0.0000 0.0000 6.0050 0.0000 0.0000 0.0000 10.3192" Properties=species:S:1:pos:R:3 pbc="T T T"
Ac 0.0000 0.0000 0.0000
Ac 1.8528 3.0025 1.7787
Ac 3.7056 0.0000 0.0000
Ac 5.5584 3.0025 8.5405
Pr 1.8528 0.0000 3.5453
Pr 1.8528 3.0025 8.5215
Pr 5.5584 0.0000 6.7739
Pr 5.5584 3.0025 1.7977
Nd 0.0000 3.0025 5.1596
Nd 3.7056 3.0025 5.1596
Sm 1.8528 0.0000 6.8636
Sm 5.5584 0.0000 3.4556
```

Peak list (10 most intense, 10 to 80 degrees two-theta, sorted by position)
d_spacing, Position (°2θ), intensity
3.014, 29.64, 100
3.002, 29.76, 36
2.985, 29.94, 70
2.126, 42.53, 26
2.117, 42.71, 12
1.736, 52.73, 13
1.730, 52.92, 27
1.727, 53.03, 14
1.577, 58.54, 11
1.574, 58.65, 21

---

4.
# Rb2Cd2Au
Simulated XRD peak list, Cu Kα, 1.54184 Å. Input: DFT lattice parameters and positions (GGA-PBE).

Crystal structure
```
10
Lattice="-2.5487 2.5487 17.2705 2.5487 -2.5487 17.2705 2.5487 2.5487 -17.2705" Properties=species:S:1:pos:R:3 pbc="T T T"
Rb 2.5487 1.2743 -6.8332
Rb 0.0000 1.2743 1.8021
Rb 2.5487 1.2743 15.4684
Rb 0.0000 1.2743 24.1037
Cd 2.5487 1.2743 -3.0939
Cd 0.0000 1.2743 5.5413
Cd 2.5487 1.2743 11.7292
Cd 0.0000 1.2743 20.3645
Au 2.5487 1.2743 4.3176
Au 0.0000 1.2743 12.9529
```

Peak list (10 most intense, 10 to 80 degrees two-theta, sorted by position)
d_spacing, Position (°2θ), intensity
8.635, 10.24, 100
5.043, 17.59, 20
4.661, 19.04, 30
4.102, 21.67, 32
3.066, 29.13, 64
3.055, 29.23, 39
2.549, 35.21, 46
2.494, 36.01, 32
2.444, 36.77, 20
1.960, 46.32, 36

---

Q: Number 4 is which compound?
A: Rb2Cd2Au

---

Q: Number 4 is which compound?
A: Rb2Cd2Au